(1)
This entry pairs a crystal structure of TbNdTh2Rh4 with its computed X-ray powder pattern. Radiation: Cu Kα. Structure: the GGA-PBE geometry in Alexandria.

Largest 8 diffraction maxima, sorted by position, 2θ = 10–80°:
| 2theta | I (rel.) | index |
| --- | --- | --- |
| 27.58 | 16 | 2 2 0 |
| 31.03 | 100 | 2 0 2 |
| 31.76 | 58 | 0 4 0 |
| 34.97 | 25 | 2 2 2 |
| 45.00 | 70 | 2 4 2 |
| 45.97 | 33 | 4 0 0 |
| 56.95 | 17 | 4 4 0 |
| 75.05 | 14 | 2 8 2 |

Cell and atoms:
```
data_TbNdTh2Rh4
_space_group_name_H-M_alt 'F m m 2'
_space_group_IT_number 42
_space_group_name_Hall 'F 2 -2'
_cell_length_a 7.897
_cell_length_b 11.270
_cell_length_c 8.430
_cell_angle_alpha 90.00
_cell_angle_beta 90.00
_cell_angle_gamma 90.00
loop_
_atom_site_label
_atom_site_type_symbol
_atom_site_fract_x
_atom_site_fract_y
_atom_site_fract_z
_atom_site_occupancy
Tb1 Tb 0.000 0.000 0.000 1
Nd1 Nd 0.000 0.000 0.430 1
Th1 Th 0.250 0.250 0.160 1
Rh1 Rh 0.000 0.234 0.906 1
Rh2 Rh 0.202 0.000 0.714 1
```


(2)
This entry pairs a crystal structure of NdSmSiS with its computed X-ray powder pattern. Radiation: Cu Kα. Structure: the GGA-PBE geometry in Alexandria.

Largest 8 diffraction maxima, sorted by position, 2θ = 10–80°:
| 2theta | I (rel.) | index |
| --- | --- | --- |
| 26.03 | 20 | 0 0 6 |
| 26.32 | 60 | 0 1 2 |
| 30.40 | 100 | 1 0 4 |
| 43.34 | 37 | 0 1 8 |
| 43.72 | 36 | 1 1 0 |
| 51.59 | 20 | 1 1 6 |
| 54.18 | 19 | 0 2 4 |
| 71.51 | 17 | 1 1 12 |

Cell and atoms:
```
data_NdSmSiS
_space_group_name_H-M_alt 'R 3 m'
_space_group_IT_number 160
_space_group_name_Hall 'R 3 -2"'
_cell_length_a 4.1406
_cell_length_b 4.1406
_cell_length_c 20.5429
_cell_angle_alpha 90.00
_cell_angle_beta 90.00
_cell_angle_gamma 120.00
loop_
_atom_site_label
_atom_site_type_symbol
_atom_site_fract_x
_atom_site_fract_y
_atom_site_fract_z
_atom_site_occupancy
Nd1 Nd 0.0000 0.0000 0.0000 1
Sm1 Sm 0.0000 0.0000 0.5002 1
Si1 Si 0.0000 0.0000 0.7511 1
S1 S 0.0000 0.0000 0.2487 1
```


(3)
This entry pairs a crystal structure of DyZn2BRu2 with its computed X-ray powder pattern. Radiation: Cu Kα. Structure: the GGA-PBE geometry in Alexandria.

Largest 8 diffraction maxima, sorted by position, 2θ = 10–80°:
| 2theta | I (rel.) | index |
| --- | --- | --- |
| 27.00 | 22 | 1 0 1 |
| 34.56 | 100 | 1 1 1 |
| 39.95 | 43 | 1 0 2 |
| 43.10 | 50 | 2 0 0 |
| 60.22 | 25 | 2 1 2 |
| 60.55 | 12 | 1 1 3 |
| 62.60 | 16 | 2 2 0 |
| 73.51 | 22 | 3 1 1 |

Cell and atoms:
```
data_DyZn2BRu2
_space_group_name_H-M_alt 'P 4/m m m'
_space_group_IT_number 123
_space_group_name_Hall '-P 4 2'
_cell_length_a 4.197
_cell_length_b 4.197
_cell_length_c 5.352
_cell_angle_alpha 90.00
_cell_angle_beta 90.00
_cell_angle_gamma 90.00
loop_
_atom_site_label
_atom_site_type_symbol
_atom_site_fract_x
_atom_site_fract_y
_atom_site_fract_z
_atom_site_occupancy
Dy1 Dy 0.000 0.000 0.000 1
Zn1 Zn 0.500 0.500 0.226 1
B1 B 0.000 0.000 0.500 1
Ru1 Ru 0.000 0.500 0.500 1
```


(4)
This entry pairs a crystal structure of Rb2VPtCl6 with its computed X-ray powder pattern. Radiation: Cu Kα. Structure: the GGA-PBE geometry in Alexandria.

Largest 8 diffraction maxima, sorted by position, 2θ = 10–80°:
| 2theta | I (rel.) | index |
| --- | --- | --- |
| 14.88 | 30 | 1 0 1 |
| 22.58 | 68 | 2 0 0 |
| 25.29 | 100 | 1 1 2 |
| 27.15 | 40 | 2 1 1 |
| 32.14 | 82 | 2 2 0 |
| 41.33 | 48 | 3 1 2 |
| 46.10 | 47 | 4 0 0 |
| 51.92 | 58 | 2 2 4 |

Cell and atoms:
```
data_Rb2VPtCl6
_space_group_name_H-M_alt 'I 4/m m m'
_space_group_IT_number 139
_space_group_name_Hall '-I 4 2'
_cell_length_a 7.876
_cell_length_b 7.876
_cell_length_c 9.094
_cell_angle_alpha 90.00
_cell_angle_beta 90.00
_cell_angle_gamma 90.00
loop_
_atom_site_label
_atom_site_type_symbol
_atom_site_fract_x
_atom_site_fract_y
_atom_site_fract_z
_atom_site_occupancy
Rb1 Rb 0.000 0.500 0.250 1
V1 V 0.000 0.000 0.000 1
Pt1 Pt 0.000 0.000 0.500 1
Cl1 Cl 0.000 0.000 0.255 1
Cl2 Cl 0.214 0.214 0.000 1
```


(5)
This entry pairs a crystal structure of Y5Bi4O with its computed X-ray powder pattern. Radiation: Cu Kα. Structure: the GGA-PBE geometry in Alexandria.

Largest 8 diffraction maxima, sorted by position, 2θ = 10–80°:
| 2theta | I (rel.) | index |
| --- | --- | --- |
| 25.14 | 36 | 1 2 1 |
| 28.28 | 53 | 0 0 2 |
| 29.51 | 100 | 3 1 0 |
| 31.42 | 17 | 3 0 1 |
| 41.33 | 76 | 3 1 2 |
| 42.22 | 33 | 2 4 0 |
| 49.77 | 17 | 4 3 1 |
| 51.60 | 35 | 2 4 2 |

Cell and atoms:
```
data_Y5Bi4O
_space_group_name_H-M_alt 'I 4'
_space_group_IT_number 79
_cell_length_a 9.572
_cell_length_b 9.572
_cell_length_c 6.312
_cell_angle_alpha 90.00
_cell_angle_beta 90.00
_cell_angle_gamma 90.00
loop_
_space_group_symop_operation_xyz
'x,y,z'
'-y,x,z'
'-x,-y,z'
'y,-x,z'
'x+1/2,y+1/2,z+1/2'
'-y+1/2,x+1/2,z+1/2'
'-x+1/2,-y+1/2,z+1/2'
'y+1/2,-x+1/2,z+1/2'
loop_
_atom_site_label
_atom_site_type_symbol
_atom_site_fract_x
_atom_site_fract_y
_atom_site_fract_z
_atom_site_occupancy
Y1 Y 0.000 0.000 0.000 1
Y2 Y 0.099 0.734 0.594 1
Bi1 Bi 0.085 0.694 0.095 1
O1 O 0.000 0.000 0.657 1
```


(6)
This entry pairs a crystal structure of MnSn2Pb with its computed X-ray powder pattern. Radiation: Cu Kα. Structure: the GGA-PBE geometry in Alexandria.

Largest 8 diffraction maxima, sorted by position, 2θ = 10–80°:
| 2theta | I (rel.) | index |
| --- | --- | --- |
| 28.89 | 37 | 1 0 1 |
| 30.46 | 20 | 0 0 3 |
| 33.95 | 100 | 1 0 2 |
| 38.58 | 44 | 1 1 0 |
| 49.93 | 21 | 1 1 3 |
| 55.70 | 15 | 2 0 0 |
| 59.50 | 16 | 1 0 5 |
| 66.85 | 29 | 2 1 2 |

Cell and atoms:
```
data_MnSn2Pb
_space_group_name_H-M_alt 'P 4/m m m'
_space_group_IT_number 123
_space_group_name_Hall '-P 4 2'
_cell_length_a 3.300
_cell_length_b 3.300
_cell_length_c 8.805
_cell_angle_alpha 90.00
_cell_angle_beta 90.00
_cell_angle_gamma 90.00
loop_
_atom_site_label
_atom_site_type_symbol
_atom_site_fract_x
_atom_site_fract_y
_atom_site_fract_z
_atom_site_occupancy
Mn1 Mn 0.000 0.000 0.000 1
Sn1 Sn 0.500 0.500 0.198 1
Pb1 Pb 0.000 0.000 0.500 1
```